# 1
Diffraction record for K3Ge7O20. The PXRD pattern is theoretical, not measured: it uses the GGA-PBE geometry in the Materials Project and Cu Kα X-rays.
Neutral-atom scattering factors, no anomalous dispersion.

Top 8 peaks for 5° ≤ 2θ ≤ 70°, low angle first:
Position (°2θ)  I_rel  hkl
11.4  100  1 0 0
19.8  15  1 1 1
23.0  18  2 0 0
28.2  40  2 1 1
32.7  28  2 2 0
36.7  30  3 1 0
52.8  18  4 2 0
68.5  15  4 4 0

Crystal structure
```
data_K3Ge7O20
_chemical_formula_sum 'K3 Ge7 O20'
_cell_length_a 7.747
_cell_length_b 7.747
_cell_length_c 7.747
_cell_angle_alpha 90.00
_cell_angle_beta 90.00
_cell_angle_gamma 90.00
_space_group_name_H-M_alt 'P -4 3 m'
_space_group_IT_number 215
_space_group_name_Hall 'P -4 2 3'
loop_
_atom_site_label
_atom_site_fract_x
_atom_site_fract_y
_atom_site_fract_z
_atom_site_occupancy
K1 0.000 0.000 0.500 1
Ge1 0.000 0.500 0.500 1
Ge2 0.361 0.361 0.361 1
O1 0.122 0.364 0.364 1
O2 0.155 0.155 0.845 1
O3 0.383 0.383 0.617 1
```


# 2
Diffraction record for La2MgCuO4. The PXRD pattern is theoretical, not measured: it uses the GGA-PBE geometry in the Materials Project and Cu Kα X-rays.
Neutral-atom scattering factors, no anomalous dispersion.

Top 8 peaks for 5° ≤ 2θ ≤ 70°, low angle first:
Position (°2θ)  I_rel  hkl
9.6  24  0 0 2
27.4  100  1 0 3
29.1  39  0 0 6
33.0  58  1 1 0
33.8  22  1 0 5
44.6  32  1 1 6
47.4  28  2 0 0
55.6  29  2 1 3

Crystal structure
```
data_La2MgCuO4
_chemical_formula_sum 'La4 Mg2 Cu2 O8'
_cell_length_a 3.836
_cell_length_b 3.836
_cell_length_c 18.393
_cell_angle_alpha 90.00
_cell_angle_beta 90.00
_cell_angle_gamma 90.00
_space_group_name_H-M_alt 'I 4/m m m'
_space_group_IT_number 139
_space_group_name_Hall '-I 4 2'
loop_
_atom_site_label
_atom_site_fract_x
_atom_site_fract_y
_atom_site_fract_z
_atom_site_occupancy
La1 0.000 0.000 0.185 1
Mg1 0.000 0.000 0.000 1
Cu1 0.000 0.000 0.500 1
O1 0.000 0.000 0.308 1
O2 0.000 0.500 0.000 1
```


# 3
Diffraction record for LiTiPO5. The PXRD pattern is theoretical, not measured: it uses the GGA-PBE geometry in the Materials Project and Cu Kα X-rays.
Neutral-atom scattering factors, no anomalous dispersion.

Top 8 peaks for 5° ≤ 2θ ≤ 70°, low angle first:
Position (°2θ)  I_rel  hkl
16.9  17  1 0 1
18.3  24  0 1 1
24.3  19  0 0 2
26.7  100  2 0 1
27.1  32  1 0 2
27.7  66  0 2 0
39.1  21  1 2 2
43.9  18  0 3 1

Crystal structure
```
data_LiTiPO5
_chemical_formula_sum 'Li4 Ti4 P4 O20'
_cell_length_a 7.496
_cell_length_b 6.442
_cell_length_c 7.340
_cell_angle_alpha 90.00
_cell_angle_beta 90.00
_cell_angle_gamma 90.00
_space_group_name_H-M_alt 'P n m a'
_space_group_IT_number 62
_space_group_name_Hall '-P 2ac 2n'
loop_
_atom_site_label
_atom_site_fract_x
_atom_site_fract_y
_atom_site_fract_z
_atom_site_occupancy
Li1 0.000 0.000 0.000 1
Ti1 0.167 0.250 0.281 1
P1 0.126 0.750 0.374 1
O1 0.047 0.250 0.512 1
O2 0.112 0.750 0.848 1
O3 0.129 0.557 0.250 1
O4 0.207 0.250 0.001 1
```


# 4
Diffraction record for K4MnAs2S8. The PXRD pattern is theoretical, not measured: it uses the GGA-PBE geometry in the Materials Project and Cu Kα X-rays.
Neutral-atom scattering factors, no anomalous dispersion.

Top 8 peaks for 5° ≤ 2θ ≤ 70°, low angle first:
Position (°2θ)  I_rel  hkl
8.6  34  0 0 2
15.8  85  1 1 1
16.8  36  1 1 -3
17.2  28  0 0 4
28.6  29  3 0 -2
29.0  30  1 2 -5
29.8  100  0 2 5
31.0  45  3 1 -1

Crystal structure
```
data_K4MnAs2S8
_chemical_formula_sum 'K16 Mn4 As8 S32'
_cell_length_a 9.363
_cell_length_b 8.731
_cell_length_c 21.911
_cell_angle_alpha 90.00
_cell_angle_beta 109.52
_cell_angle_gamma 90.00
_space_group_name_H-M_alt 'P 1 2/c 1'
_space_group_IT_number 13
_space_group_name_Hall '-P 2yc'
loop_
_atom_site_label
_atom_site_fract_x
_atom_site_fract_y
_atom_site_fract_z
_atom_site_occupancy
K1 0.000 0.092 0.250 1
K2 0.000 0.381 0.750 1
K3 0.270 0.384 0.983 1
K4 0.297 0.395 0.165 1
K5 0.474 0.114 0.865 1
Mn1 0.127 0.129 0.458 1
As1 0.115 0.164 0.612 1
As2 0.325 0.308 0.375 1
S1 0.085 0.347 0.368 1
S2 0.095 0.334 0.535 1
S3 0.110 0.106 0.884 1
S4 0.176 0.046 0.069 1
S5 0.272 0.238 0.704 1
S6 0.348 0.195 0.291 1
S7 0.403 0.156 0.461 1
S8 0.453 0.480 0.892 1
```


# 5
Diffraction record for Cs2KSbBr6. The PXRD pattern is theoretical, not measured: it uses the GGA-PBE geometry in the Materials Project and Cu Kα X-rays.
Neutral-atom scattering factors, no anomalous dispersion.

Top 8 peaks for 5° ≤ 2θ ≤ 70°, low angle first:
Position (°2θ)  I_rel  hkl
12.8  19  1 1 1
21.0  41  2 2 0
25.8  81  2 2 2
29.8  100  4 0 0
36.8  17  4 2 2
42.7  71  4 4 0
50.6  34  6 2 2
53.0  24  4 4 4

Crystal structure
```
data_Cs2KSbBr6
_chemical_formula_sum 'Cs8 K4 Sb4 Br24'
_cell_length_a 11.976
_cell_length_b 11.976
_cell_length_c 11.976
_cell_angle_alpha 90.00
_cell_angle_beta 90.00
_cell_angle_gamma 90.00
_space_group_name_H-M_alt 'F m -3 m'
_space_group_IT_number 225
_space_group_name_Hall '-F 4 2 3'
loop_
_atom_site_label
_atom_site_fract_x
_atom_site_fract_y
_atom_site_fract_z
_atom_site_occupancy
Cs1 0.250 0.250 0.250 1
K1 0.000 0.000 0.000 1
Sb1 0.000 0.000 0.500 1
Br1 0.000 0.000 0.265 1
```


# 6
Diffraction record for ReW3. The PXRD pattern is theoretical, not measured: it uses the GGA-PBE geometry in the Materials Project and Cu Kα X-rays.
Neutral-atom scattering factors, no anomalous dispersion.

Top 6 peaks for 5° ≤ 2θ ≤ 70°, low angle first:
Position (°2θ)  I_rel  hkl
35.5  35  2 0 0
39.9  100  2 1 0
43.9  78  2 1 1
63.8  8  2 2 2
66.7  22  3 2 0
69.6  40  3 2 1

Crystal structure
```
data_ReW3
_chemical_formula_sum 'Re2 W6'
_cell_length_a 5.055
_cell_length_b 5.055
_cell_length_c 5.055
_cell_angle_alpha 90.00
_cell_angle_beta 90.00
_cell_angle_gamma 90.00
_space_group_name_H-M_alt 'P m -3 n'
_space_group_IT_number 223
_space_group_name_Hall '-P 4n 2 3'
loop_
_atom_site_label
_atom_site_fract_x
_atom_site_fract_y
_atom_site_fract_z
_atom_site_occupancy
Re1 0.000 0.000 0.000 1
W1 0.000 0.250 0.500 1
```